Structure and computed powder XRD pattern of PmSn3Pd2 (a structure optimized by DFT (GGA-PBE); Cu Kα X-rays).
Kinematic intensities with the Lorentz-polarization factor, no thermal factor.

Main lines, most intense first (15° ≤ 2θ ≤ 90°):
| 2theta | intensity |
| --- | --- |
| 32.2 | 100 |
| 34.6 | 94 |
| 40.9 | 76 |
| 40.8 | 44 |
| 35.5 | 39 |
| 43.8 | 29 |
| 36.7 | 26 |
| 57.1 | 23 |
| 63.7 | 22 |
| 55.5 | 22 |

Crystal structure
Unit cell a=6.796 b=6.796 c=5.831 alpha=90.00 beta=90.00 gamma=83.41
Sites, in units of the cell vectors:
Pm: 0.082 0.918 0.750
Pm: 0.918 0.082 0.250
Sn: 0.079 0.603 0.250
Sn: 0.397 0.921 0.250
Sn: 0.420 0.580 0.750
Sn: 0.580 0.420 0.250
Sn: 0.603 0.079 0.750
Sn: 0.921 0.397 0.750
Pd: 0.273 0.273 0.000
Pd: 0.273 0.273 0.500
Pd: 0.727 0.727 0.000
Pd: 0.727 0.727 0.500